Diffraction record for Nd2Cd2O5. The powder X-ray diffraction pattern is simulated, not measured: it uses a DFT-relaxed cell (PBE, the Materials Project) and Cu Kα.
No peak broadening, texture or thermal motion is included.

Cell and atoms:
```
Nd2Cd2O5
1.0
4.2754 0.0000 0.0000
0.0000 4.2754 0.0000
0.0000 0.0000 7.4112
Nd Cd O
2 2 5
Cartesian
0.0000 0.0000 0.0000
0.0000 0.0000 3.7056
2.1377 2.1377 1.5472
2.1377 2.1377 5.8640
0.0000 2.1377 1.4997
0.0000 2.1377 5.9116
2.1377 0.0000 1.4997
2.1377 0.0000 5.9116
2.1377 2.1377 3.7056
```

Peak list (10 most intense, 10 to 90 degrees two-theta, by angle)
index  d/Å  Position (°2θ)  I (rel.)
1 1 0  3.023  29.5  60
1 0 2  2.800  32.0  100
2 0 0  2.138  42.3  43
2 1 2  1.699  54.0  48
1 1 4  1.580  58.4  13
2 2 0  1.512  61.3  15
2 0 4  1.400  66.8  12
3 1 0  1.352  69.5  11
3 0 2  1.330  70.8  13
3 2 2  1.129  86.1  13

=====

Diffraction record for ZnAs2C6S12N12O6F12. The powder X-ray diffraction pattern is simulated, not measured: it uses a DFT-relaxed cell (PBE, the Materials Project) and Cu Kα.
No peak broadening, texture or thermal motion is included.

Cell and atoms:
```
ZnAs2C6S12N12O6F12
1.0
12.1384 0.0000 0.0000
-6.0692 10.5122 0.0000
0.0000 0.0000 6.8626
Zn As C S N O F
1 2 6 12 12 6 12
Cartesian
0.0000 0.0000 0.0000
0.0000 7.0081 6.5690
6.0692 3.5041 0.2936
-4.0900 8.8328 5.1005
0.4647 2.5537 5.1005
2.4440 0.8744 1.7622
3.6252 9.6378 5.1005
5.6045 7.9584 1.7622
10.1592 1.6793 1.7622
-1.7040 3.3456 1.0718
-3.0877 7.2699 3.4592
-2.3198 10.3151 1.0718
1.3172 4.2032 3.4592
2.0453 3.1485 5.7908
4.2986 0.9609 3.4034
1.7706 9.5513 3.4592
4.0239 7.3637 1.0718
4.7520 6.3090 3.4034
8.3891 0.1971 5.7908
9.1569 3.2423 3.4034
7.7732 7.1666 5.7908
-2.4081 4.1900 2.2608
-3.4299 8.7489 3.9214
0.2074 3.1673 3.9214
2.8467 1.4040 2.9412
-1.2365 10.5027 2.2608
2.4246 4.1805 4.6018
3.6446 6.3317 2.2608
7.3057 0.0095 4.6018
3.2225 9.1081 3.9214
5.8618 7.3448 2.9412
9.4991 1.7633 2.9412
8.4773 6.3222 4.6018
-0.2829 1.7232 5.6658
-4.4354 9.8956 5.6658
1.3509 1.1066 1.1969
4.7183 9.4056 5.6658
10.5046 0.6166 1.1969
6.3521 8.7890 1.1969
-1.4479 6.8868 0.7266
-0.6040 5.6890 5.5384
-0.8404 8.1907 5.5384
0.8290 5.8149 0.7266
0.6189 8.3227 0.7266
1.4444 7.1446 5.5384
4.6248 3.3676 1.3242
5.4503 2.1895 6.1361
5.2402 4.6973 6.1361
6.9096 2.3214 1.3242
6.6732 4.8231 1.3242
7.5171 3.6254 6.1361
```

Peak list (10 most intense, 10 to 90 degrees two-theta, by angle)
index  d/Å  Position (°2θ)  I (rel.)
1 1 0  6.069  14.6  9
2 -1 1  4.546  19.5  100
3 0 0  3.504  25.4  26
3 -2 1  3.438  25.9  20
3 0 1  3.121  28.6  13
2 2 1  2.775  32.3  14
3 -2 2  2.597  34.5  11
4 0 1  2.453  36.6  8
2 2 2  2.274  39.6  15
5 -1 2  1.907  47.7  10

=====

Diffraction record for Eu2HgGe. The powder X-ray diffraction pattern is simulated, not measured: it uses a DFT-relaxed cell (PBE, the Materials Project) and Cu Kα.
No peak broadening, texture or thermal motion is included.

Cell and atoms:
```
Eu2HgGe
1.0
7.6415 0.0000 0.0000
0.0000 7.6415 0.0000
0.0000 0.0000 7.6415
Eu Hg Ge
8 4 4
Cartesian
1.9104 1.9104 1.9104
1.9104 1.9104 5.7311
1.9104 5.7311 1.9104
1.9104 5.7311 5.7311
5.7311 1.9104 1.9104
5.7311 1.9104 5.7311
5.7311 5.7311 1.9104
5.7311 5.7311 5.7311
0.0000 0.0000 0.0000
0.0000 3.8208 3.8208
3.8208 0.0000 3.8208
3.8208 3.8208 0.0000
0.0000 0.0000 3.8208
0.0000 3.8208 0.0000
3.8208 0.0000 0.0000
3.8208 3.8208 3.8208
```

Peak list (10 most intense, 10 to 90 degrees two-theta, by angle)
index  d/Å  Position (°2θ)  I (rel.)
1 1 1  4.412  20.1  10
2 2 0  2.702  33.2  100
3 1 1  2.304  39.1  6
4 0 0  1.910  47.6  18
3 3 1  1.753  52.2  3
4 2 2  1.560  59.2  38
4 4 0  1.351  69.6  12
5 3 1  1.292  73.3  2
6 2 0  1.208  79.3  17
4 4 4  1.103  88.7  4